Calculated XRD peak list
Compound: Li3FeP2O8
Radiation: Cu Ka
Structure: a cell relaxed with GGA+U
Intensities are scaled so that the largest is 100.

a b c (Å): 5.1412 5.1412 13.5168
angles (deg): 97.83 97.83 54.45
Element x y z (fractional)
Li: 0.0000 0.0000 0.0000
Li: 0.2529 0.4115 0.5928
Li: 0.3165 0.3472 0.0926
Li: 0.5885 0.7471 0.4072
Li: 0.6528 0.6835 0.9074
Li: 0.9052 0.0948 0.5000
Fe: 0.9519 0.0461 0.2500
Fe: 0.9539 0.0481 0.7500
P: 0.2763 0.4065 0.3649
P: 0.3129 0.3720 0.8649
P: 0.5935 0.7237 0.6351
P: 0.6280 0.6871 0.1351
O: 0.1280 0.5490 0.9598
O: 0.1429 0.7720 0.3828
O: 0.1705 0.6067 0.7817
O: 0.2280 0.8571 0.6172
O: 0.2924 0.0807 0.8346
O: 0.3933 0.8295 0.2183
O: 0.4510 0.8720 0.0402
O: 0.4537 0.2223 0.4599
O: 0.5108 0.2638 0.2817
O: 0.6144 0.0148 0.6653
O: 0.6784 0.2388 0.8828
O: 0.7362 0.4892 0.7183
O: 0.7612 0.3216 0.1172
O: 0.7777 0.5463 0.5401
O: 0.9193 0.7076 0.1654
O: 0.9852 0.3856 0.3347

Top 10 peaks for 5° ≤ 2θ ≤ 70°, in order of rising 2θ:
| 2θ (°) | I/Imax |
| --- | --- |
| 13.26 | 74 |
| 24.34 | 100 |
| 25.44 | 50 |
| 30.76 | 10 |
| 33.15 | 34 |
| 35.39 | 50 |
| 38.72 | 28 |
| 53.40 | 13 |
| 58.30 | 11 |
| 60.40 | 12 |